For Pm3SmTh, a PBE-relaxed structure gives the simulated X-ray powder pattern in this record (CuKα).

Cell and atoms:
```
data_Pm3SmTh
_cell_length_a 9.5103
_cell_length_b 9.5103
_cell_length_c 7.6595
_cell_angle_alpha 90.00
_cell_angle_beta 90.00
_cell_angle_gamma 91.35
_space_group_name_H-M_alt 'P 1'
_space_group_IT_number 1
_space_group_name_Hall 'P 1'
loop_
_atom_site_label
_atom_site_type_symbol
_atom_site_fract_x
_atom_site_fract_y
_atom_site_fract_z
Pm1 Pm 0.0805 0.6247 0.1201
Pm2 Pm 0.0936 0.9064 0.8579
Pm3 Pm 0.1247 0.5805 0.6201
Pm4 Pm 0.3753 0.9195 0.1201
Pm5 Pm 0.4064 0.5936 0.3579
Pm6 Pm 0.4195 0.8753 0.6201
Pm7 Pm 0.5805 0.1247 0.3799
Pm8 Pm 0.5936 0.4064 0.6421
Pm9 Pm 0.6247 0.0805 0.8799
Pm10 Pm 0.8753 0.4195 0.3799
Pm11 Pm 0.9064 0.0936 0.1421
Pm12 Pm 0.9195 0.3753 0.8799
Sm1 Sm 0.2309 0.2691 0.2500
Sm2 Sm 0.2691 0.2309 0.7500
Sm3 Sm 0.7309 0.7691 0.2500
Sm4 Sm 0.7691 0.7309 0.7500
Th1 Th 0.1049 0.8951 0.4169
Th2 Th 0.3951 0.6049 0.9169
Th3 Th 0.6049 0.3951 0.0831
Th4 Th 0.8951 0.1049 0.5831
```

Principal peaks in the range 2θ from 5° to 70°, sorted by position:
2theta, I/Imax
13.32, 15
26.85, 28
29.50, 64
29.93, 74
31.30, 100
31.57, 94
37.85, 19
57.07, 21
57.90, 26
62.26, 17

=====

For PmSmTh3, a PBE-relaxed structure gives the simulated X-ray powder pattern in this record (CuKα).

Cell and atoms:
```
data_PmSmTh3
_cell_length_a 8.3267
_cell_length_b 8.3267
_cell_length_c 8.3267
_cell_angle_alpha 106.37
_cell_angle_beta 88.88
_cell_angle_gamma 137.53
_space_group_name_H-M_alt 'P 1'
_space_group_IT_number 1
_space_group_name_Hall 'P 1'
loop_
_atom_site_label
_atom_site_type_symbol
_atom_site_fract_x
_atom_site_fract_y
_atom_site_fract_z
Pm1 Pm 0.5000 0.0000 0.0000
Pm2 Pm 0.5000 0.5000 0.5000
Sm1 Sm 0.0502 0.3002 0.7500
Sm2 Sm 0.9498 0.6998 0.2500
Th1 Th 0.0000 0.0000 0.0000
Th2 Th 0.0000 0.3300 0.3300
Th3 Th 0.0000 0.6700 0.6700
Th4 Th 0.5000 0.0000 0.5000
Th5 Th 0.5000 0.3300 0.8300
Th6 Th 0.5000 0.6700 0.1700
```

Principal peaks in the range 2θ from 5° to 70°, sorted by position:
2theta, I/Imax
14.90, 48
24.33, 40
30.06, 64
30.69, 50
33.31, 93
34.28, 100
43.50, 40
55.48, 22
56.14, 25
62.35, 22

=====

For Pm2Sm5Th3, a PBE-relaxed structure gives the simulated X-ray powder pattern in this record (CuKα).

Cell and atoms:
```
data_Pm2Sm5Th3
_cell_length_a 6.2717
_cell_length_b 6.2717
_cell_length_c 11.4493
_cell_angle_alpha 90.05
_cell_angle_beta 90.05
_cell_angle_gamma 47.93
_space_group_name_H-M_alt 'P 1'
_space_group_IT_number 1
_space_group_name_Hall 'P 1'
loop_
_atom_site_label
_atom_site_type_symbol
_atom_site_fract_x
_atom_site_fract_y
_atom_site_fract_z
Pm1 Pm 0.0977 0.0977 0.2048
Pm2 Pm 0.9023 0.9023 0.7952
Sm1 Sm 0.1989 0.1989 0.8963
Sm2 Sm 0.3004 0.3004 0.5974
Sm3 Sm 0.5000 0.5000 0.0000
Sm4 Sm 0.6996 0.6996 0.4026
Sm5 Sm 0.8011 0.8011 0.1037
Th1 Th 0.0000 0.0000 0.5000
Th2 Th 0.4018 0.4018 0.3028
Th3 Th 0.5982 0.5982 0.6972
```

Principal peaks in the range 2θ from 5° to 70°, sorted by position:
2theta, I/Imax
7.72, 3
17.30, 2
30.27, 100
35.03, 34
35.23, 17
50.38, 12
50.53, 24
59.91, 29
60.18, 14
62.96, 13

=====

For PmSm5Th, a PBE-relaxed structure gives the simulated X-ray powder pattern in this record (CuKα).

Cell and atoms:
```
data_PmSm5Th
_cell_length_a 5.7387
_cell_length_b 5.7387
_cell_length_c 7.7525
_cell_angle_alpha 90.00
_cell_angle_beta 90.00
_cell_angle_gamma 90.00
_space_group_name_H-M_alt 'P 1'
_space_group_IT_number 1
_space_group_name_Hall 'P 1'
loop_
_atom_site_label
_atom_site_type_symbol
_atom_site_fract_x
_atom_site_fract_y
_atom_site_fract_z
Pm1 Pm 0.0000 0.0000 0.0000
Sm1 Sm 0.0000 0.5000 0.2795
Sm2 Sm 0.0000 0.5000 0.7205
Sm3 Sm 0.5000 0.0000 0.2795
Sm4 Sm 0.5000 0.0000 0.7205
Sm5 Sm 0.5000 0.5000 0.0000
Th1 Th 0.0000 0.0000 0.5000
```

Principal peaks in the range 2θ from 5° to 70°, sorted by position:
2theta, I/Imax
15.44, 12
19.24, 15
31.17, 57
31.93, 100
44.66, 21
46.88, 7
55.95, 41
57.37, 15
65.01, 7
66.74, 10

=====

For Pm5Sm2Th2, a PBE-relaxed structure gives the simulated X-ray powder pattern in this record (CuKα).

Cell and atoms:
```
data_Pm5Sm2Th2
_cell_length_a 6.2815
_cell_length_b 6.2834
_cell_length_c 9.5851
_cell_angle_alpha 70.90
_cell_angle_beta 70.99
_cell_angle_gamma 60.14
_space_group_name_H-M_alt 'P 1'
_space_group_IT_number 1
_space_group_name_Hall 'P 1'
loop_
_atom_site_label
_atom_site_type_symbol
_atom_site_fract_x
_atom_site_fract_y
_atom_site_fract_z
Pm1 Pm 0.0000 0.0000 0.0000
Pm2 Pm 0.2231 0.5553 0.3362
Pm3 Pm 0.4466 0.1134 0.6640
Pm4 Pm 0.5534 0.8866 0.3360
Pm5 Pm 0.7769 0.4447 0.6638
Sm1 Sm 0.3269 0.3364 0.0000
Sm2 Sm 0.6731 0.6636 0.0000
Th1 Th 0.1047 0.7849 0.6648
Th2 Th 0.8953 0.2151 0.3352
```

Principal peaks in the range 2θ from 5° to 70°, sorted by position:
2theta, I/Imax
30.17, 100
34.95, 34
35.03, 17
50.26, 18
50.35, 18
59.69, 11
59.80, 25
59.88, 7
62.66, 3
62.76, 9

=====

For Pm8SmTh4, a PBE-relaxed structure gives the simulated X-ray powder pattern in this record (CuKα).

Cell and atoms:
```
data_Pm8SmTh4
_cell_length_a 7.9030
_cell_length_b 7.9030
_cell_length_c 7.9030
_cell_angle_alpha 91.66
_cell_angle_beta 91.66
_cell_angle_gamma 91.66
_space_group_name_H-M_alt 'P 1'
_space_group_IT_number 1
_space_group_name_Hall 'P 1'
loop_
_atom_site_label
_atom_site_type_symbol
_atom_site_fract_x
_atom_site_fract_y
_atom_site_fract_z
Pm1 Pm 0.2325 0.2325 0.7470
Pm2 Pm 0.2325 0.7470 0.2325
Pm3 Pm 0.2376 0.2376 0.2376
Pm4 Pm 0.2530 0.7675 0.7675
Pm5 Pm 0.7470 0.2325 0.2325
Pm6 Pm 0.7624 0.7624 0.7624
Pm7 Pm 0.7675 0.2530 0.7675
Pm8 Pm 0.7675 0.7675 0.2530
Sm1 Sm 0.5000 0.5000 0.5000
Th1 Th 0.0000 0.0000 0.0000
Th2 Th 0.0000 0.5000 0.5000
Th3 Th 0.5000 0.0000 0.5000
Th4 Th 0.5000 0.5000 0.0000
```

Principal peaks in the range 2θ from 5° to 70°, sorted by position:
2theta, I/Imax
19.28, 32
20.05, 16
31.57, 100
32.55, 88
37.68, 20
45.97, 34
56.21, 20
56.84, 36
58.69, 14
65.91, 12

=====

For PmSm6Th, a PBE-relaxed structure gives the simulated X-ray powder pattern in this record (CuKα).

Cell and atoms:
```
data_PmSm6Th
_cell_length_a 5.1228
_cell_length_b 5.1228
_cell_length_c 10.2401
_cell_angle_alpha 90.00
_cell_angle_beta 90.00
_cell_angle_gamma 90.00
_space_group_name_H-M_alt 'P 1'
_space_group_IT_number 1
_space_group_name_Hall 'P 1'
loop_
_atom_site_label
_atom_site_type_symbol
_atom_site_fract_x
_atom_site_fract_y
_atom_site_fract_z
Pm1 Pm 0.0000 0.0000 0.0000
Sm1 Sm 0.0000 0.5000 0.2539
Sm2 Sm 0.0000 0.5000 0.7461
Sm3 Sm 0.5000 0.0000 0.2539
Sm4 Sm 0.5000 0.0000 0.7461
Sm5 Sm 0.5000 0.5000 0.0000
Sm6 Sm 0.5000 0.5000 0.5000
Th1 Th 0.0000 0.0000 0.5000
```

Principal peaks in the range 2θ from 5° to 70°, sorted by position:
2theta, I/Imax
8.64, 2
17.31, 1
19.37, 1
24.58, 1
30.22, 100
35.04, 51
36.15, 1
50.39, 36
59.89, 43
62.85, 12

=====

For Pm5SmTh3, a PBE-relaxed structure gives the simulated X-ray powder pattern in this record (CuKα).

Cell and atoms:
```
data_Pm5SmTh3
_cell_length_a 6.7252
_cell_length_b 9.1031
_cell_length_c 10.5132
_cell_angle_alpha 105.28
_cell_angle_beta 100.27
_cell_angle_gamma 96.95
_space_group_name_H-M_alt 'P 1'
_space_group_IT_number 1
_space_group_name_Hall 'P 1'
loop_
_atom_site_label
_atom_site_type_symbol
_atom_site_fract_x
_atom_site_fract_y
_atom_site_fract_z
Pm1 Pm 0.0556 0.0557 0.1664
Pm2 Pm 0.1107 0.6112 0.3336
Pm3 Pm 0.2224 0.7223 0.6668
Pm4 Pm 0.3887 0.3891 0.1665
Pm5 Pm 0.4439 0.9444 0.3334
Pm6 Pm 0.5561 0.0556 0.6666
Pm7 Pm 0.6113 0.6109 0.8335
Pm8 Pm 0.7776 0.2777 0.3332
Pm9 Pm 0.8893 0.3888 0.6664
Pm10 Pm 0.9444 0.9443 0.8336
Sm1 Sm 0.2779 0.2776 0.8335
Sm2 Sm 0.7221 0.7224 0.1665
Th1 Th 0.0000 0.0000 0.5000
Th2 Th 0.1669 0.6663 0.0001
Th3 Th 0.3335 0.3333 0.5005
Th4 Th 0.5000 0.0000 0.0000
Th5 Th 0.6665 0.6667 0.4995
Th6 Th 0.8331 0.3337 0.9999
```

Principal peaks in the range 2θ from 5° to 70°, sorted by position:
2theta, I/Imax
17.93, 7
31.02, 100
31.32, 95
40.55, 2
44.67, 37
51.52, 8
55.57, 40
55.76, 19
61.54, 28
65.36, 12